Record 1
For K2Ti8O17, a GGA-PBE-relaxed structure gives the computed powder diffractogram in this record (CuKα).

Largest 8 diffraction maxima, sorted by position, 2θ from 10° to 90°:
7.918 Å, 2θ = 11.17°, I 100.0
6.940 Å, 2θ = 12.75°, I 51.2
3.088 Å, 2θ = 28.91°, I 35.3
3.034 Å, 2θ = 29.44°, I 37.2
2.913 Å, 2θ = 30.69°, I 30.7
2.690 Å, 2θ = 33.31°, I 39.1
2.156 Å, 2θ = 41.91°, I 25.5
1.904 Å, 2θ = 47.78°, I 29.2

Cell and atoms:
Lattice parameters (Å, degrees): 8.182 8.182 12.109 95.53 95.53 26.91
Fractional positions:
K 0.056 0.056 0.305
K 0.944 0.944 0.695
Ti 0.257 0.257 0.668
Ti 0.305 0.305 0.924
Ti 0.349 0.349 0.172
Ti 0.390 0.390 0.429
Ti 0.610 0.610 0.571
Ti 0.651 0.651 0.828
Ti 0.695 0.695 0.076
Ti 0.743 0.743 0.332
O 0.136 0.136 0.585
O 0.186 0.186 0.822
O 0.228 0.228 0.068
O 0.273 0.273 0.319
O 0.329 0.329 0.564
O 0.347 0.347 0.789
O 0.392 0.392 0.037
O 0.435 0.435 0.282
O 0.500 0.500 0.500
O 0.565 0.565 0.718
O 0.608 0.608 0.963
O 0.653 0.653 0.211
O 0.671 0.671 0.436
O 0.727 0.727 0.681
O 0.772 0.772 0.932
O 0.814 0.814 0.178
O 0.864 0.864 0.415



Record 2
For UGa5Fe, a GGA-PBE-relaxed structure gives the computed powder diffractogram in this record (CuKα).

Largest 8 diffraction maxima, sorted by position, 2θ from 10° to 90°:
4.283 Å, 2θ = 20.74°, I 36.0
2.759 Å, 2θ = 32.45°, I 63.9
2.638 Å, 2θ = 33.99°, I 21.3
2.246 Å, 2θ = 40.15°, I 100.0
2.232 Å, 2θ = 40.41°, I 18.7
2.141 Å, 2θ = 42.20°, I 55.4
1.545 Å, 2θ = 59.85°, I 23.6
1.255 Å, 2θ = 75.77°, I 30.5

Cell and atoms:
Lattice parameters (Å, degrees): 4.283 4.283 6.696 90.00 90.00 90.00
Fractional positions:
U 0.000 0.000 0.000
Ga 0.000 0.500 0.308
Ga 0.000 0.500 0.692
Ga 0.500 0.000 0.308
Ga 0.500 0.000 0.692
Ga 0.500 0.500 0.000
Fe 0.000 0.000 0.500



Record 3
For Ca5Si4Au6, a GGA-PBE-relaxed structure gives the computed powder diffractogram in this record (CuKα).

Largest 8 diffraction maxima, sorted by position, 2θ from 10° to 90°:
3.887 Å, 2θ = 22.88°, I 82.9
3.618 Å, 2θ = 24.61°, I 35.5
2.722 Å, 2θ = 32.90°, I 22.7
2.648 Å, 2θ = 33.85°, I 100.0
2.304 Å, 2θ = 39.10°, I 18.2
2.244 Å, 2θ = 40.19°, I 76.9
1.908 Å, 2θ = 47.66°, I 25.4
1.711 Å, 2θ = 53.56°, I 18.1

Cell and atoms:
Lattice parameters (Å, degrees): 5.770 5.770 26.702 96.69 96.69 45.71
Fractional positions:
Ca 0.000 0.000 0.000
Ca 0.045 0.045 0.517
Ca 0.198 0.198 0.402
Ca 0.250 0.250 0.922
Ca 0.396 0.396 0.797
Ca 0.443 0.443 0.318
Ca 0.598 0.598 0.203
Ca 0.646 0.646 0.719
Ca 0.796 0.796 0.600
Ca 0.848 0.848 0.120
Si 0.087 0.087 0.634
Si 0.149 0.149 0.113
Si 0.293 0.293 0.045
Si 0.349 0.349 0.510
Si 0.491 0.491 0.440
Si 0.685 0.685 0.838
Si 0.748 0.748 0.312
Si 0.890 0.890 0.241
Au 0.114 0.114 0.808
Au 0.130 0.130 0.287
Au 0.307 0.307 0.199
Au 0.309 0.309 0.679
Au 0.504 0.504 0.597
Au 0.531 0.531 0.089
Au 0.552 0.552 0.915
Au 0.719 0.719 0.008
Au 0.731 0.731 0.485
Au 0.907 0.907 0.398
Au 0.908 0.908 0.880
Au 0.953 0.953 0.712



Record 4
For BaHf4SnO12, a GGA-PBE-relaxed structure gives the computed powder diffractogram in this record (CuKα).

Largest 8 diffraction maxima, sorted by position, 2θ from 10° to 90°:
4.691 Å, 2θ = 18.92°, I 30.2
4.120 Å, 2θ = 21.57°, I 20.2
4.025 Å, 2θ = 22.09°, I 18.9
2.883 Å, 2θ = 31.02°, I 100.0
2.853 Å, 2θ = 31.35°, I 49.3
1.670 Å, 2θ = 54.98°, I 22.0
1.655 Å, 2θ = 55.52°, I 21.9
1.651 Å, 2θ = 55.68°, I 21.3

Cell and atoms:
Lattice parameters (Å, degrees): 8.240 5.707 5.707 90.31 90.00 90.00
Fractional positions:
Ba 0.000 0.000 0.000
Hf 0.252 0.026 0.519
Hf 0.252 0.519 0.026
Hf 0.748 0.026 0.519
Hf 0.748 0.519 0.026
Sn 0.500 0.548 0.548
O 0.000 0.059 0.489
O 0.000 0.489 0.059
O 0.230 0.740 0.740
O 0.247 0.228 0.817
O 0.247 0.817 0.228
O 0.330 0.356 0.356
O 0.500 0.520 0.903
O 0.500 0.903 0.520
O 0.670 0.356 0.356
O 0.753 0.228 0.817
O 0.753 0.817 0.228
O 0.770 0.740 0.740



Record 5
For P2O3, a GGA-PBE-relaxed structure gives the computed powder diffractogram in this record (CuKα).

Largest 8 diffraction maxima, sorted by position, 2θ from 10° to 90°:
6.322 Å, 2θ = 14.01°, I 32.1
5.597 Å, 2θ = 15.83°, I 55.6
5.316 Å, 2θ = 16.68°, I 100.0
5.070 Å, 2θ = 17.49°, I 56.5
3.603 Å, 2θ = 24.71°, I 26.5
3.496 Å, 2θ = 25.48°, I 14.7
2.928 Å, 2θ = 30.53°, I 24.3
2.613 Å, 2θ = 34.32°, I 13.3

Cell and atoms:
Lattice parameters (Å, degrees): 6.661 8.487 7.184 90.00 108.35 90.00
Fractional positions:
P 0.139 0.250 0.359
P 0.240 0.750 0.504
P 0.249 0.575 0.865
P 0.249 0.925 0.865
P 0.751 0.075 0.135
P 0.751 0.425 0.135
P 0.760 0.250 0.496
P 0.861 0.750 0.641
O 0.013 0.099 0.222
O 0.013 0.401 0.222
O 0.021 0.250 0.533
O 0.311 0.599 0.660
O 0.311 0.901 0.660
O 0.319 0.750 0.970
O 0.681 0.250 0.030
O 0.689 0.099 0.340
O 0.689 0.401 0.340
O 0.979 0.750 0.467
O 0.987 0.599 0.778
O 0.987 0.901 0.778



Record 6
For Li3ScCl6, a GGA-PBE-relaxed structure gives the computed powder diffractogram in this record (CuKα).

Largest 8 diffraction maxima, sorted by position, 2θ from 10° to 90°:
6.041 Å, 2θ = 14.66°, I 34.0
5.274 Å, 2θ = 16.81°, I 21.5
3.021 Å, 2θ = 29.57°, I 24.6
3.003 Å, 2θ = 29.75°, I 74.9
2.616 Å, 2θ = 34.27°, I 50.8
2.598 Å, 2θ = 34.52°, I 100.0
1.847 Å, 2θ = 49.33°, I 30.2
1.840 Å, 2θ = 49.54°, I 30.8

Cell and atoms:
Lattice parameters (Å, degrees): 6.356 6.356 24.272 92.69 92.69 119.71
Fractional positions:
Li 0.000 0.000 0.000
Li 0.041 0.709 0.125
Li 0.122 0.126 0.375
Li 0.249 0.249 0.750
Li 0.291 0.959 0.875
Li 0.374 0.376 0.125
Li 0.541 0.207 0.625
Li 0.624 0.626 0.875
Li 0.751 0.751 0.250
Li 0.793 0.459 0.375
Li 0.833 0.167 0.500
Li 0.874 0.878 0.625
Sc 0.209 0.547 0.625
Sc 0.453 0.791 0.375
Sc 0.705 0.045 0.125
Sc 0.955 0.295 0.875
Cl 0.012 0.338 0.067
Cl 0.040 0.052 0.184
Cl 0.109 0.775 0.317
Cl 0.148 0.482 0.432
Cl 0.179 0.201 0.566
Cl 0.225 0.891 0.683
Cl 0.263 0.588 0.817
Cl 0.289 0.302 0.934
Cl 0.358 0.023 0.067
Cl 0.412 0.737 0.183
Cl 0.449 0.458 0.316
Cl 0.487 0.137 0.434
Cl 0.518 0.852 0.568
Cl 0.542 0.551 0.684
Cl 0.608 0.273 0.817
Cl 0.662 0.988 0.933
Cl 0.698 0.711 0.066
Cl 0.727 0.392 0.183
Cl 0.759 0.085 0.317
Cl 0.799 0.821 0.434
Cl 0.863 0.513 0.566
Cl 0.915 0.241 0.683
Cl 0.948 0.960 0.816
Cl 0.977 0.642 0.933



Record 7
For VS2, a GGA-PBE-relaxed structure gives the computed powder diffractogram in this record (CuKα).

Largest 8 diffraction maxima, sorted by position, 2θ from 10° to 90°:
6.538 Å, 2θ = 13.54°, I 100.0
2.547 Å, 2θ = 35.23°, I 71.8
2.111 Å, 2θ = 42.83°, I 52.8
1.712 Å, 2θ = 53.53°, I 25.1
1.597 Å, 2θ = 57.73°, I 19.3
1.551 Å, 2θ = 59.60°, I 9.6
1.274 Å, 2θ = 74.50°, I 9.0
1.142 Å, 2θ = 84.90°, I 9.8

Cell and atoms:
Lattice parameters (Å, degrees): 3.194 3.194 6.538 90.00 90.00 120.00
Fractional positions:
V 0.000 0.000 0.000
S 0.333 0.667 0.776
S 0.667 0.333 0.224



> Number 7 is which compound?

VS2



> Number 5 is which compound?

P2O3



Repeat the second record exactly.
For UGa5Fe, a GGA-PBE-relaxed structure gives the computed powder diffractogram in this record (CuKα).

Largest 8 diffraction maxima, sorted by position, 2θ from 10° to 90°:
4.283 Å, 2θ = 20.74°, I 36.0
2.759 Å, 2θ = 32.45°, I 63.9
2.638 Å, 2θ = 33.99°, I 21.3
2.246 Å, 2θ = 40.15°, I 100.0
2.232 Å, 2θ = 40.41°, I 18.7
2.141 Å, 2θ = 42.20°, I 55.4
1.545 Å, 2θ = 59.85°, I 23.6
1.255 Å, 2θ = 75.77°, I 30.5

Cell and atoms:
Lattice parameters (Å, degrees): 4.283 4.283 6.696 90.00 90.00 90.00
Fractional positions:
U 0.000 0.000 0.000
Ga 0.000 0.500 0.308
Ga 0.000 0.500 0.692
Ga 0.500 0.000 0.308
Ga 0.500 0.000 0.692
Ga 0.500 0.500 0.000
Fe 0.000 0.000 0.500